Starting from a crystal structure in the Materials Project, relaxed with GGA-PBE, the powder diffractogram of Li8SiO6 was simulated for Cu Kα (weighted mean of Kα1 and Kα2).
No peak broadening, texture or thermal motion is included.

The 6 most intense peaks (10 to 90 degrees two-theta), by angle:
d [Å], Position (°2θ), intensity
4.721, 18.80, 58.1
3.539, 25.16, 100.0
2.726, 32.86, 35.8
2.674, 33.51, 41.0
2.641, 33.94, 61.6
1.574, 58.67, 43.3

Cell and atoms:
a b c (Å): 5.4512 5.4512 10.6974
angles (deg): 90.00 90.00 120.00
Space group P6_3cm (No. 185)
Unique sites:
Li  0.0000  0.3081  0.0000
Li  0.0000  0.3940  0.3592
Li  0.3333  0.6667  0.1414
Si  0.0000  0.0000  0.2293
O  0.0000  0.0000  0.3867
O  0.0000  0.2884  0.1828
O  0.3333  0.6667  0.4497


Starting from a crystal structure in the Materials Project, relaxed with GGA-PBE, the powder diffractogram of Na2TiF5 was simulated for Cu Kα (weighted mean of Kα1 and Kα2).
No peak broadening, texture or thermal motion is included.

The 6 most intense peaks (10 to 90 degrees two-theta), by angle:
d [Å], Position (°2θ), intensity
5.384, 16.47, 50.7
4.848, 18.30, 51.9
3.101, 28.79, 100.0
2.994, 29.84, 79.3
2.263, 39.83, 31.3
1.898, 47.93, 47.5

Cell and atoms:
a b c (Å): 7.560 5.430 11.278
angles (deg): 90.00 107.31 90.00
Space group P2_1/c (No. 14)
Unique sites:
Na  0.147  0.011  0.363
Na  0.348  0.556  0.184
Ti  0.000  0.000  0.000
Ti  0.500  0.000  0.000
F  0.053  0.656  0.670
F  0.107  0.195  0.572
F  0.252  0.655  0.504
F  0.382  0.223  0.860
F  0.487  0.742  0.371


Starting from a crystal structure in the Materials Project, relaxed with GGA-PBE, the powder diffractogram of BaAlH5 was simulated for Cu Kα (weighted mean of Kα1 and Kα2).
No peak broadening, texture or thermal motion is included.

The 6 most intense peaks (10 to 90 degrees two-theta), by angle:
d [Å], Position (°2θ), intensity
4.145, 21.44, 83.2
3.778, 23.55, 70.8
3.417, 26.08, 81.9
3.293, 27.08, 89.5
3.075, 29.04, 100.0
2.082, 43.47, 47.1

Cell and atoms:
a b c (Å): 9.173 7.057 5.122
angles (deg): 90.00 90.00 90.00
Space group Pna2_1 (No. 33)
Unique sites:
Ba  0.187  0.157  0.000
Al  0.040  0.655  0.973
H  0.005  0.551  0.655
H  0.078  0.792  0.243
H  0.081  0.844  0.767
H  0.142  0.306  0.480
H  0.206  0.547  0.957


Starting from a crystal structure in the Materials Project, relaxed with GGA-PBE, the powder diffractogram of NaScZnS3O12 was simulated for Cu Kα (weighted mean of Kα1 and Kα2).
No peak broadening, texture or thermal motion is included.

The 6 most intense peaks (10 to 90 degrees two-theta), by angle:
d [Å], Position (°2θ), intensity
6.316, 14.02, 21.3
4.368, 20.33, 26.2
3.793, 23.45, 100.0
3.158, 28.26, 23.1
2.878, 31.07, 56.2
2.522, 35.60, 21.2

Cell and atoms:
a b c (Å): 8.7351 8.7351 22.9569
angles (deg): 90.00 90.00 120.00
Space group R3c (No. 161, hexagonal axes)
Unique sites:
Na  0.0000  0.0000  0.0000
Sc  0.0000  0.0000  0.1505
Zn  0.0000  0.0000  0.3523
S  0.0421  0.3723  0.4198
O  0.0218  0.1952  0.4129
O  0.0261  0.2096  0.7004
O  0.1479  0.4526  0.4724
O  0.1601  0.4694  0.7587


Starting from a crystal structure in the Materials Project, relaxed with GGA-PBE, the powder diffractogram of KCu2H20N3Cl8O4 was simulated for Cu Kα (weighted mean of Kα1 and Kα2).
No peak broadening, texture or thermal motion is included.

The 6 most intense peaks (10 to 90 degrees two-theta), by angle:
d [Å], Position (°2θ), intensity
5.543, 15.99, 85.9
5.431, 16.32, 36.1
3.223, 27.68, 34.3
3.157, 28.27, 40.9
2.771, 32.30, 59.6
2.715, 32.99, 100.0

Cell and atoms:
a b c (Å): 7.680 7.680 8.007
angles (deg): 90.00 90.00 90.00
Space group P-4 (No. 81)
Unique sites:
K  0.000  0.000  0.000
Cu  0.000  0.500  0.751
H  0.072  0.084  0.426
H  0.075  0.426  0.069
H  0.075  0.426  0.434
H  0.416  0.428  0.075
H  0.416  0.428  0.425
N  0.000  0.000  0.500
N  0.500  0.500  0.000
N  0.500  0.500  0.500
Cl  0.204  0.286  0.754
Cl  0.218  0.287  0.252
O  0.000  0.500  0.506
O  0.000  0.500  0.997


Starting from a crystal structure in the Materials Project, relaxed with GGA-PBE, the powder diffractogram of KRb2TlI6 was simulated for Cu Kα (weighted mean of Kα1 and Kα2).
No peak broadening, texture or thermal motion is included.

The 6 most intense peaks (10 to 90 degrees two-theta), by angle:
d [Å], Position (°2θ), intensity
7.364, 12.02, 33.9
6.378, 13.89, 40.7
3.682, 24.17, 66.8
3.189, 27.98, 100.0
2.255, 39.98, 73.8
1.426, 65.45, 31.4

Cell and atoms:
a b c (Å): 12.756 12.756 12.756
angles (deg): 90.00 90.00 90.00
Space group Fm-3m (No. 225)
Unique sites:
K  0.000  0.000  0.000
Rb  0.250  0.250  0.250
Tl  0.000  0.000  0.500
I  0.000  0.000  0.264


Starting from a crystal structure in the Materials Project, relaxed with GGA-PBE, the powder diffractogram of Sr5Rh2N6 was simulated for Cu Kα (weighted mean of Kα1 and Kα2).
No peak broadening, texture or thermal motion is included.

The 6 most intense peaks (10 to 90 degrees two-theta), by angle:
d [Å], Position (°2θ), intensity
3.230, 27.62, 51.3
2.978, 30.01, 36.1
2.873, 31.13, 37.5
2.865, 31.22, 100.0
2.777, 32.24, 92.1
2.699, 33.20, 82.0

Cell and atoms:
a b c (Å): 10.554 6.926 13.249
angles (deg): 90.00 102.83 90.00
Space group C2/c (No. 15)
Unique sites:
Sr  0.000  0.131  0.250
Sr  0.058  0.239  0.999
Sr  0.160  0.390  0.723
Rh  0.231  0.413  0.442
N  0.051  0.458  0.373
N  0.143  0.037  0.644
N  0.208  0.040  0.419